Entry 1:
Simulated powder diffraction line list of BaPuNiSe4 for Cu Kα (weighted mean of Kα1 and Kα2), from DFT lattice parameters and positions (PBE).

Crystal structure
```
data_BaPuNiSe4
_chemical_formula_sum 'Ba2 Pu2 Ni2 Se8'
_cell_length_a 7.0200
_cell_length_b 5.9890
_cell_length_c 8.9841
_cell_angle_alpha 90.00
_cell_angle_beta 106.89
_cell_angle_gamma 90.00
_space_group_name_H-M_alt 'P 1 21/m 1'
_space_group_IT_number 11
loop_
_space_group_symop_operation_xyz
'x,y,z'
'-x,-y,-z'
'-x,y+1/2,-z'
'x,-y+1/2,z'
loop_
_atom_site_label
_atom_site_type_symbol
_atom_site_fract_x
_atom_site_fract_y
_atom_site_fract_z
Ba1 Ba 0.2404 0.2500 0.4359
Pu1 Pu 0.2384 0.2500 0.9439
Ni1 Ni 0.2566 0.7500 0.1750
Se1 Se 0.0612 0.7500 0.3494
Se2 Se 0.0806 0.7500 0.9143
Se3 Se 0.4839 0.5082 0.7788
```

Principal peaks in the range 10° ≤ 2θ ≤ 80°, low angle first:
2θ = 10.29°, intensity 100, (0 0 1); 2θ = 19.86°, intensity 78, (1 1 0); 2θ = 27.70°, intensity 66, (1 0 2); 2θ = 28.58°, intensity 83, (2 0 -2); 2θ = 29.84°, intensity 53, (0 2 0); 2θ = 31.55°, intensity 91, (1 1 2); 2θ = 32.33°, intensity 64, (2 1 -2); 2θ = 36.57°, intensity 51, (0 2 2); 2θ = 40.17°, intensity 52, (1 0 -4); 2θ = 40.35°, intensity 63, (2 2 0)

Entry 2:
Simulated powder diffraction line list of KDyTe2O8 for Cu Kα (weighted mean of Kα1 and Kα2), from DFT lattice parameters and positions (PBE).

Crystal structure
```
data_KDyTe2O8
_chemical_formula_sum 'K1 Dy1 Te2 O8'
_cell_length_a 5.9942
_cell_length_b 5.9942
_cell_length_c 7.6789
_cell_angle_alpha 90.00
_cell_angle_beta 90.00
_cell_angle_gamma 120.00
_space_group_name_H-M_alt 'P -3'
_space_group_IT_number 147
loop_
_space_group_symop_operation_xyz
'x,y,z'
'-x,-y,-z'
'-y,x-y,z'
'y,-x+y,-z'
'-x+y,-x,z'
'x-y,x,-z'
loop_
_atom_site_label
_atom_site_type_symbol
_atom_site_fract_x
_atom_site_fract_y
_atom_site_fract_z
K1 K 0.0000 0.0000 0.0000
Dy1 Dy 0.0000 0.0000 0.5000
Te1 Te 0.3333 0.6667 0.7688
O1 O 0.1547 0.3345 0.6845
O2 O 0.3333 0.6667 0.0057
```

Principal peaks in the range 10° ≤ 2θ ≤ 80°, low angle first:
2θ = 20.65°, intensity 100, (0 1 1); 2θ = 28.92°, intensity 45, (1 0 2); 2θ = 29.81°, intensity 49, (1 1 0); 2θ = 36.54°, intensity 10, (2 0 1); 2θ = 39.24°, intensity 12, (1 0 3); 2θ = 42.02°, intensity 24, (0 2 2); 2θ = 47.85°, intensity 21, (3 -2 1); 2θ = 52.37°, intensity 17, (2 1 2); 2θ = 52.91°, intensity 10, (3 0 0); 2θ = 56.97°, intensity 15, (1 1 4)

Entry 3:
Simulated powder diffraction line list of Ag5HgPd6 for Cu Kα (weighted mean of Kα1 and Kα2), from DFT lattice parameters and positions (PBE).

Crystal structure
```
data_Ag5HgPd6
_chemical_formula_sum 'Ag10 Hg2 Pd12'
_cell_length_a 4.5535
_cell_length_b 13.6700
_cell_length_c 6.5139
_cell_angle_alpha 90.00
_cell_angle_beta 90.12
_cell_angle_gamma 90.00
_space_group_name_H-M_alt 'C 1 2/m 1'
_space_group_IT_number 12
loop_
_space_group_symop_operation_xyz
'x,y,z'
'-x,-y,-z'
'-x,y,-z'
'x,-y,z'
'x+1/2,y+1/2,z'
'-x+1/2,-y+1/2,-z'
'-x+1/2,y+1/2,-z'
'x+1/2,-y+1/2,z'
loop_
_atom_site_label
_atom_site_type_symbol
_atom_site_fract_x
_atom_site_fract_y
_atom_site_fract_z
Ag1 Ag 0.0000 0.0000 0.0000
Ag2 Ag 0.0000 0.3314 0.5000
Ag3 Ag 0.0000 0.3330 0.0000
Hg1 Hg 0.0000 0.0000 0.5000
Pd1 Pd 0.9999 0.1667 0.2486
Pd2 Pd 0.0001 0.5000 0.2490
```

Principal peaks in the range 10° ≤ 2θ ≤ 80°, low angle first:
2θ = 12.95°, intensity 1, (0 2 0); 2θ = 24.73°, intensity 1, (1 1 -1); 2θ = 39.34°, intensity 100, (1 3 2); 2θ = 39.57°, intensity 49, (2 0 0); 2θ = 56.51°, intensity 8, (0 0 4); 2θ = 57.20°, intensity 16, (2 6 0); 2θ = 71.11°, intensity 4, (2 0 -4); 2θ = 71.20°, intensity 12, (2 0 4); 2θ = 71.61°, intensity 25, (1 9 2); 2θ = 71.71°, intensity 8, (3 3 2)

Entry 4:
Simulated powder diffraction line list of Ac3Ga2Ni9 for Cu Kα (weighted mean of Kα1 and Kα2), from DFT lattice parameters and positions (PBE).

Crystal structure
```
data_Ac3Ga2Ni9
_chemical_formula_sum 'Ac6 Ga4 Ni18'
_cell_length_a 4.0679
_cell_length_b 9.8706
_cell_length_c 12.3749
_cell_angle_alpha 90.00
_cell_angle_beta 90.00
_cell_angle_gamma 90.00
_space_group_name_H-M_alt 'I m m m'
_space_group_IT_number 71
_space_group_name_Hall '-I 2 2'
loop_
_atom_site_label
_atom_site_type_symbol
_atom_site_fract_x
_atom_site_fract_y
_atom_site_fract_z
Ac1 Ac 0.0000 0.0000 0.0000
Ac2 Ac 0.0000 0.0000 0.3052
Ga1 Ga 0.0000 0.2265 0.5000
Ni1 Ni 0.0000 0.2792 0.1053
Ni2 Ni 0.0000 0.2964 0.3025
Ni3 Ni 0.0000 0.5000 0.0000
```

Principal peaks in the range 10° ≤ 2θ ≤ 80°, low angle first:
2θ = 23.37°, intensity 62, (0 1 3); 2θ = 23.66°, intensity 66, (1 1 0); 2θ = 30.87°, intensity 57, (1 0 3); 2θ = 34.88°, intensity 53, (0 3 3); 2θ = 35.08°, intensity 77, (1 3 0); 2θ = 35.95°, intensity 100, (1 2 3); 2θ = 36.41°, intensity 61, (0 4 0); 2θ = 42.77°, intensity 39, (1 0 5); 2θ = 44.55°, intensity 51, (2 0 0); 2θ = 58.84°, intensity 30, (2 4 0)